# 1
Simulated powder XRD pattern of LiVSiO4 for CuKα, from a crystal structure in the Materials Project, relaxed with PBE+U.
Peak positions follow from Bragg's law for the DFT cell and can differ from measured ones.

The 10 most intense peaks (2θ from 10° to 90°), in order of rising 2θ:
2θ (°)	d_spacing	intensity
14.74	6.009	100
22.06	4.030	44
23.82	3.736	25
24.38	3.651	26
29.77	3.001	30
32.17	2.783	28
32.57	2.749	25
33.32	2.689	49
34.42	2.606	26
35.85	2.505	26

Crystal structure
Lattice parameters (Å, degrees): 5.630 6.395 9.337 75.79 80.27 73.95
Atoms (fractional coordinates):
Li (0.196, 0.117, 0.138)
Li (0.302, 0.932, 0.779)
Li (0.698, 0.068, 0.221)
Li (0.804, 0.883, 0.862)
V (0.215, 0.335, 0.426)
V (0.293, 0.429, 0.794)
V (0.707, 0.571, 0.206)
V (0.785, 0.665, 0.574)
Si (0.165, 0.672, 0.095)
Si (0.322, 0.791, 0.462)
Si (0.678, 0.209, 0.538)
Si (0.835, 0.328, 0.905)
O (0.116, 0.440, 0.213)
O (0.126, 0.654, 0.447)
O (0.131, 0.176, 0.899)
O (0.221, 0.049, 0.388)
O (0.246, 0.642, 0.924)
O (0.364, 0.773, 0.147)
O (0.383, 0.278, 0.614)
O (0.387, 0.718, 0.639)
O (0.613, 0.282, 0.361)
O (0.617, 0.722, 0.386)
O (0.636, 0.227, 0.853)
O (0.754, 0.358, 0.076)
O (0.779, 0.951, 0.612)
O (0.869, 0.824, 0.101)
O (0.874, 0.346, 0.553)
O (0.884, 0.560, 0.787)

***

# 2
Simulated powder XRD pattern of Li3La8Ti9Cr3O36 for CuKα, from a crystal structure in the Materials Project, relaxed with PBE+U.
Peak positions follow from Bragg's law for the DFT cell and can differ from measured ones.

The 10 most intense peaks (2θ from 10° to 90°), in order of rising 2θ:
2θ (°)	d_spacing	intensity
19.75	4.496	35
32.51	2.754	100
32.56	2.750	21
38.28	2.351	15
40.11	2.248	21
46.57	1.950	30
46.81	1.941	14
57.96	1.591	34
58.12	1.587	17
68.16	1.376	11

Crystal structure
Lattice parameters (Å, degrees): 5.515 5.517 23.286 90.04 90.01 90.01
Atoms (fractional coordinates):
Li (0.000, 0.000, 0.000)
Li (0.001, 0.992, 0.329)
Li (0.491, 0.500, 0.164)
La (0.496, 0.473, 0.669)
La (0.496, 0.485, 0.501)
La (0.497, 0.470, 0.999)
La (0.497, 0.474, 0.331)
La (0.994, 0.977, 0.840)
La (0.995, 0.974, 0.166)
La (0.996, 0.972, 0.497)
La (0.996, 0.982, 0.666)
Ti (0.495, 0.977, 0.756)
Ti (0.495, 0.980, 0.919)
Ti (0.496, 0.984, 0.083)
Ti (0.496, 0.984, 0.412)
Ti (0.496, 0.989, 0.247)
Ti (0.995, 0.480, 0.756)
Ti (0.996, 0.490, 0.251)
Ti (0.996, 0.490, 0.920)
Ti (0.997, 0.483, 0.085)
Cr (0.496, 0.980, 0.583)
Cr (0.996, 0.480, 0.583)
Cr (0.996, 0.483, 0.414)
O (0.235, 0.744, 0.760)
O (0.241, 0.219, 0.265)
O (0.241, 0.220, 0.068)
O (0.241, 0.221, 0.932)
O (0.242, 0.229, 0.736)
O (0.242, 0.731, 0.906)
O (0.244, 0.732, 0.569)
O (0.248, 0.232, 0.598)
O (0.251, 0.229, 0.403)
O (0.251, 0.721, 0.099)
O (0.251, 0.721, 0.234)
O (0.254, 0.726, 0.431)
O (0.494, 0.900, 0.001)
O (0.494, 0.902, 0.332)
O (0.495, 0.907, 0.668)
O (0.496, 0.076, 0.167)
O (0.497, 0.051, 0.499)
O (0.498, 0.047, 0.834)
O (0.739, 0.726, 0.431)
O (0.741, 0.229, 0.403)
O (0.742, 0.234, 0.598)
O (0.742, 0.723, 0.099)
O (0.742, 0.723, 0.234)
O (0.748, 0.222, 0.068)
O (0.749, 0.220, 0.265)
O (0.749, 0.730, 0.906)
O (0.749, 0.734, 0.569)
O (0.750, 0.229, 0.736)
O (0.751, 0.221, 0.932)
O (0.756, 0.744, 0.759)
O (0.995, 0.549, 0.668)
O (0.995, 0.569, 0.001)
O (0.995, 0.574, 0.331)
O (0.996, 0.409, 0.834)
O (0.997, 0.399, 0.166)
O (0.998, 0.401, 0.499)

***

# 3
Simulated powder XRD pattern of Rb2MoS3O for CuKα, from a crystal structure in the Materials Project, relaxed with PBE+U.
Peak positions follow from Bragg's law for the DFT cell and can differ from measured ones.

The 10 most intense peaks (2θ from 10° to 90°), in order of rising 2θ:
2θ (°)	d_spacing	intensity
23.37	3.806	60
23.79	3.740	52
24.32	3.660	96
25.52	3.491	100
27.17	3.282	84
31.40	2.849	51
31.64	2.828	68
34.28	2.616	39
53.35	1.717	39
56.23	1.636	40

Crystal structure
Lattice parameters (Å, degrees): 9.610 7.320 11.913 90.00 90.00 90.00
Atoms (fractional coordinates):
Rb (0.046, 0.250, 0.192)
Rb (0.164, 0.750, 0.376)
Rb (0.336, 0.250, 0.876)
Rb (0.454, 0.750, 0.692)
Rb (0.546, 0.250, 0.308)
Rb (0.664, 0.750, 0.124)
Rb (0.836, 0.250, 0.624)
Rb (0.954, 0.750, 0.808)
Mo (0.241, 0.750, 0.049)
Mo (0.259, 0.250, 0.549)
Mo (0.741, 0.750, 0.451)
Mo (0.759, 0.250, 0.951)
S (0.018, 0.750, 0.098)
S (0.156, 0.004, 0.622)
S (0.156, 0.496, 0.622)
S (0.344, 0.504, 0.122)
S (0.344, 0.996, 0.122)
S (0.482, 0.250, 0.598)
S (0.518, 0.750, 0.402)
S (0.656, 0.004, 0.878)
S (0.656, 0.496, 0.878)
S (0.844, 0.504, 0.378)
S (0.844, 0.996, 0.378)
S (0.982, 0.250, 0.902)
O (0.243, 0.250, 0.401)
O (0.257, 0.750, 0.901)
O (0.743, 0.250, 0.099)
O (0.757, 0.750, 0.599)

***

# 4
Simulated powder XRD pattern of SmFe2O4 for CuKα, from a crystal structure in the Materials Project, relaxed with PBE+U.
Peak positions follow from Bragg's law for the DFT cell and can differ from measured ones.

The 10 most intense peaks (2θ from 10° to 90°), in order of rising 2θ:
2θ (°)	d_spacing	intensity
10.53	8.400	33
21.15	4.200	28
28.74	3.107	80
31.94	2.802	100
33.70	2.659	60
46.25	1.963	37
50.50	1.807	47
59.19	1.561	33
61.01	1.519	40
81.46	1.181	17

Crystal structure
Lattice parameters (Å, degrees): 8.655 8.655 8.655 24.11 24.11 24.11
Atoms (fractional coordinates):
Sm (0.000, 0.000, 0.000)
Fe (0.213, 0.213, 0.213)
Fe (0.789, 0.789, 0.789)
O (0.135, 0.135, 0.135)
O (0.290, 0.290, 0.290)
O (0.708, 0.708, 0.708)
O (0.878, 0.878, 0.878)

***

# 5
Simulated powder XRD pattern of ZnCuNiP2O9 for CuKα, from a crystal structure in the Materials Project, relaxed with PBE+U.
Peak positions follow from Bragg's law for the DFT cell and can differ from measured ones.

The 10 most intense peaks (2θ from 10° to 90°), in order of rising 2θ:
2θ (°)	d_spacing	intensity
17.58	5.046	26
25.68	3.469	100
27.98	3.189	28
28.74	3.107	31
31.42	2.847	20
31.55	2.835	18
32.03	2.794	34
33.88	2.646	40
40.53	2.226	29
58.59	1.576	23

Crystal structure
Lattice parameters (Å, degrees): 7.153 6.213 14.238 90.00 90.02 90.00
Atoms (fractional coordinates):
Zn (0.000, 0.000, 0.000)
Zn (0.233, 0.500, 0.444)
Zn (0.501, 0.500, 0.945)
Zn (0.733, 0.000, 0.499)
Cu (0.261, 0.000, 0.600)
Cu (0.471, 0.000, 0.101)
Cu (0.762, 0.500, 0.343)
Cu (0.972, 0.500, 0.844)
Ni (0.116, 0.250, 0.222)
Ni (0.116, 0.750, 0.222)
Ni (0.617, 0.250, 0.722)
Ni (0.617, 0.750, 0.722)
P (0.001, 0.500, 0.024)
P (0.231, 0.000, 0.420)
P (0.252, 0.500, 0.652)
P (0.480, 0.500, 0.152)
P (0.502, 0.000, 0.920)
P (0.731, 0.500, 0.524)
P (0.753, 0.000, 0.291)
P (0.981, 0.000, 0.792)
O (0.008, 0.288, 0.082)
O (0.008, 0.712, 0.082)
O (0.070, 0.000, 0.495)
O (0.095, 0.500, 0.722)
O (0.138, 0.000, 0.723)
O (0.162, 0.500, 0.949)
O (0.224, 0.212, 0.362)
O (0.224, 0.788, 0.362)
O (0.245, 0.314, 0.579)
O (0.245, 0.686, 0.579)
O (0.252, 0.000, 0.171)
O (0.288, 0.500, 0.202)
O (0.321, 0.000, 0.982)
O (0.414, 0.000, 0.481)
O (0.445, 0.500, 0.702)
O (0.479, 0.000, 0.673)
O (0.488, 0.314, 0.079)
O (0.488, 0.686, 0.079)
O (0.509, 0.212, 0.862)
O (0.509, 0.788, 0.862)
O (0.569, 0.500, 0.449)
O (0.595, 0.000, 0.222)
O (0.638, 0.500, 0.222)
O (0.663, 0.000, 0.996)
O (0.725, 0.288, 0.582)
O (0.725, 0.712, 0.582)
O (0.745, 0.186, 0.365)
O (0.745, 0.814, 0.365)
O (0.754, 0.500, 0.771)
O (0.788, 0.000, 0.742)
O (0.819, 0.500, 0.963)
O (0.913, 0.500, 0.463)
O (0.945, 0.000, 0.242)
O (0.982, 0.500, 0.274)
O (0.988, 0.186, 0.866)
O (0.988, 0.814, 0.866)

***

# 6
Simulated powder XRD pattern of MgCr4W2O12 for CuKα, from a crystal structure in the Materials Project, relaxed with PBE+U.
Peak positions follow from Bragg's law for the DFT cell and can differ from measured ones.

The 10 most intense peaks (2θ from 10° to 90°), in order of rising 2θ:
2θ (°)	d_spacing	intensity
19.29	4.602	22
20.98	4.234	86
26.26	3.394	66
26.62	3.349	63
34.77	2.580	100
37.84	2.378	17
51.98	1.759	26
52.10	1.755	20
52.39	1.746	26
52.51	1.743	19

Crystal structure
Lattice parameters (Å, degrees): 4.755 9.205 4.781 90.00 90.77 90.00
Atoms (fractional coordinates):
Mg (0.000, 0.000, 0.000)
Cr (0.000, 0.024, 0.500)
Cr (0.000, 0.356, 0.500)
Cr (0.500, 0.527, 0.000)
Cr (0.500, 0.849, 0.000)
W (0.000, 0.684, 0.500)
W (0.500, 0.200, 0.000)
O (0.170, 0.861, 0.277)
O (0.178, 0.179, 0.264)
O (0.184, 0.522, 0.301)
O (0.310, 0.692, 0.784)
O (0.317, 0.358, 0.794)
O (0.327, 0.023, 0.782)
O (0.673, 0.023, 0.218)
O (0.683, 0.358, 0.206)
O (0.690, 0.692, 0.216)
O (0.816, 0.522, 0.699)
O (0.822, 0.179, 0.736)
O (0.830, 0.861, 0.723)

***

# 7
Simulated powder XRD pattern of BaPrMgMn2O6 for CuKα, from a crystal structure in the Materials Project, relaxed with PBE+U.
Peak positions follow from Bragg's law for the DFT cell and can differ from measured ones.

The 10 most intense peaks (2θ from 10° to 90°), in order of rising 2θ:
2θ (°)	d_spacing	intensity
27.43	3.252	100
28.17	3.168	91
31.89	2.807	82
32.37	2.766	81
36.20	2.481	46
45.46	1.995	25
46.07	1.970	61
54.34	1.688	32
55.61	1.653	28
58.24	1.584	26

Crystal structure
Lattice parameters (Å, degrees): 3.838 5.613 7.980 90.00 90.00 90.00
Atoms (fractional coordinates):
Ba (0.000, 0.000, 0.000)
Pr (0.000, 0.000, 0.500)
Mg (0.000, 0.500, 0.500)
Mn (0.500, 0.500, 0.236)
Mn (0.500, 0.500, 0.764)
O (0.000, 0.500, 0.262)
O (0.000, 0.500, 0.738)
O (0.500, 0.000, 0.302)
O (0.500, 0.000, 0.698)
O (0.500, 0.500, 0.000)
O (0.500, 0.500, 0.500)

***

# 8
Simulated powder XRD pattern of FeBiO3 for CuKα, from a crystal structure in the Materials Project, relaxed with PBE+U.
Peak positions follow from Bragg's law for the DFT cell and can differ from measured ones.

The 10 most intense peaks (2θ from 10° to 90°), in order of rising 2θ:
2θ (°)	d_spacing	intensity
18.09	4.905	50
18.64	4.761	100
20.99	4.233	45
29.37	3.042	20
29.53	3.025	19
30.47	2.934	19
32.84	2.727	19
33.28	2.693	18
36.47	2.464	17
36.59	2.456	17

Crystal structure
Lattice parameters (Å, degrees): 5.431 5.459 5.524 66.91 67.51 65.22
Atoms (fractional coordinates):
Fe (0.000, 0.000, 0.000)
Bi (0.736, 0.766, 0.727)
O (0.333, 0.731, 0.905)
O (0.738, 0.908, 0.316)
O (0.948, 0.342, 0.750)

***

# 9
Simulated powder XRD pattern of Rb2LiNd2W4O16 for CuKα, from a crystal structure in the Materials Project, relaxed with PBE+U.
Peak positions follow from Bragg's law for the DFT cell and can differ from measured ones.

The 10 most intense peaks (2θ from 10° to 90°), in order of rising 2θ:
2θ (°)	d_spacing	intensity
15.95	5.558	52
25.65	3.473	100
26.91	3.313	74
28.20	3.165	76
28.80	3.100	76
30.76	2.907	60
31.98	2.798	31
32.24	2.776	66
47.99	1.896	32
54.60	1.681	43

Crystal structure
Lattice parameters (Å, degrees): 7.591 7.690 8.092 89.69 62.71 63.04
Atoms (fractional coordinates):
Rb (0.000, 0.000, 0.000)
Rb (0.495, 0.360, 0.676)
Li (0.503, 0.570, 0.413)
Nd (0.510, 0.963, 0.009)
Nd (0.991, 0.456, 0.588)
W (0.048, 0.896, 0.491)
W (0.457, 0.518, 0.093)
W (0.547, 0.912, 0.481)
W (0.957, 0.503, 0.111)
O (0.047, 0.454, 0.854)
O (0.130, 0.255, 0.139)
O (0.176, 0.583, 0.066)
O (0.239, 0.578, 0.393)
O (0.278, 0.838, 0.217)
O (0.313, 0.841, 0.542)
O (0.379, 0.161, 0.455)
O (0.461, 0.974, 0.736)
O (0.555, 0.245, 0.027)
O (0.608, 0.599, 0.870)
O (0.707, 0.448, 0.158)
O (0.710, 0.806, 0.185)
O (0.770, 0.605, 0.421)
O (0.820, 0.948, 0.423)
O (0.890, 0.835, 0.718)
O (0.952, 0.164, 0.565)